Fe5Ni12H2: theoretical powder X-ray diffraction pattern (Cu Kα, 1.54184 Å), based on a crystal structure in Alexandria, relaxed with PBE.
No peak broadening, texture or thermal motion is included.

Structural model:
```
Fe5Ni12H2
1.0
3.7058 -3.6781 0.0000
3.7058 3.6781 0.0000
-1.0603 0.0000 7.4068
Fe Ni H
5 12 2
direct
0.0000 0.0000 0.0000
0.1946 0.1946 0.8116
0.3437 0.3437 0.1255
0.6563 0.6563 0.8745
0.8054 0.8054 0.1884
0.1160 0.1160 0.3608
0.1176 0.5940 0.3776
0.1854 0.6452 0.8492
0.3548 0.8146 0.1508
0.4000 0.4000 0.6112
0.4060 0.8824 0.6224
0.5940 0.1176 0.3776
0.6000 0.6000 0.3888
0.6452 0.1854 0.8492
0.8146 0.3548 0.1508
0.8824 0.4060 0.6224
0.8840 0.8840 0.6392
0.1261 0.8739 0.5000
0.8739 0.1261 0.5000
```

The 10 most intense peaks (5 to 70 degrees two-theta), sorted by position:
2θ/deg  Rel. int.
37.8  54
38.8  97
40.4  614
44.6  1000
48.2  270
49.2  200
49.5  543
49.7  120
50.6  73
53.1  61